TiAlCu: computed powder diffractogram (Cu Kα, 1.54184 Å), based on the PBE geometry in the Materials Project.

Crystal structure
```
TiAlCu
1.0
8.091 0.000 0.000
0.000 2.544 4.299
0.000 -2.544 4.299
Ti Al Cu
4 4 4
direct
0.181 0.000 0.000 Ti
0.307 0.329 0.329 Ti
0.693 0.329 0.329 Ti
0.819 0.000 0.000 Ti
0.239 0.669 0.669 Al
0.500 0.315 0.829 Al
0.500 0.829 0.315 Al
0.761 0.669 0.669 Al
0.000 0.012 0.488 Cu
0.000 0.488 0.012 Cu
0.000 0.492 0.492 Cu
0.500 0.828 0.828 Cu
```

The 10 most intense peaks (2θ = 5–70°), in order of rising 2θ:
2θ (°)  intensity
10.9  45.1
22.0  23.3
39.2  78.4
39.4  21.4
42.0  35.8
42.5  82.8
42.8  100.0
43.6  42.9
44.8  24.8
68.3  18.7